(1)
Calculated powder X-ray diffraction pattern of NaMgCu2O3 for Cu Kα, from a cell relaxed with GGA-PBE.
Peak positions follow from Bragg's law for the DFT cell and can differ from measured ones.

Principal peaks in the range 2θ from 15° to 90°, in order of rising 2θ:
2θ = 22.9°, d = 3.889 Å, I 38.1; 2θ = 28.5°, d = 3.127 Å, I 54.7; 2θ = 33.7°, d = 2.660 Å, I 40.4; 2θ = 34.2°, d = 2.619 Å, I 41.6; 2θ = 36.9°, d = 2.437 Å, I 100.0; 2θ = 38.2°, d = 2.359 Å, I 74.8; 2θ = 46.7°, d = 1.944 Å, I 24.8; 2θ = 50.8°, d = 1.796 Å, I 28.3; 2θ = 61.5°, d = 1.508 Å, I 24.7; 2θ = 62.2°, d = 1.493 Å, I 25.1

Structural model:
a = 3.5934 Å, b = 3.1267 Å, c = 7.7786 Å
α = 90.00°, β = 90.89°, γ = 90.00°
Element x y z (fractional)
Na1 0.0000 0.0000 0.0000
Mg1 0.0000 0.0000 0.5000
Cu1 0.4915 0.5000 0.7553
Cu2 0.5085 0.5000 0.2447
O1 0.0126 0.5000 0.3292
O2 0.5000 0.5000 0.0000
O3 0.9874 0.5000 0.6708



(2)
Calculated powder X-ray diffraction pattern of NaMgCu2O3 for Cu Kα, from a cell relaxed with GGA-PBE.
Peak positions follow from Bragg's law for the DFT cell and can differ from measured ones.

Principal peaks in the range 2θ from 15° to 90°, in order of rising 2θ:
2θ = 19.1°, d = 4.645 Å, I 81.4; 2θ = 29.8°, d = 2.999 Å, I 100.0; 2θ = 33.7°, d = 2.663 Å, I 64.3; 2θ = 34.1°, d = 2.626 Å, I 71.9; 2θ = 35.2°, d = 2.552 Å, I 87.8; 2θ = 35.6°, d = 2.519 Å, I 99.0; 2θ = 43.8°, d = 2.066 Å, I 90.9; 2θ = 47.2°, d = 1.926 Å, I 59.7; 2θ = 50.2°, d = 1.819 Å, I 40.9; 2θ = 56.8°, d = 1.621 Å, I 36.5

Structural model:
a = 5.3351 Å, b = 2.9983 Å, c = 5.7605 Å
α = 90.00°, β = 114.26°, γ = 90.00°
Element x y z (fractional)
Na1 0.0000 0.0000 0.0000
Mg1 0.1861 0.0000 0.5029
Cu1 0.4877 0.5000 0.0374
Cu2 0.7489 0.5000 0.5390
O1 0.1425 0.5000 0.7482
O2 0.3760 0.5000 0.3801
O3 0.8580 0.5000 0.2416



(3)
Calculated powder X-ray diffraction pattern of Na4MgCu2O4 for Cu Kα, from a cell relaxed with GGA-PBE.
Peak positions follow from Bragg's law for the DFT cell and can differ from measured ones.

Principal peaks in the range 2θ from 15° to 90°, in order of rising 2θ:
2θ = 24.0°, d = 3.702 Å, I 51.4; 2θ = 26.1°, d = 3.412 Å, I 82.0; 2θ = 26.5°, d = 3.367 Å, I 54.7; 2θ = 26.9°, d = 3.320 Å, I 66.5; 2θ = 27.9°, d = 3.193 Å, I 66.5; 2θ = 34.9°, d = 2.568 Å, I 100.0; 2θ = 35.8°, d = 2.506 Å, I 45.9; 2θ = 36.3°, d = 2.477 Å, I 66.7; 2θ = 36.6°, d = 2.453 Å, I 54.7; 2θ = 42.1°, d = 2.147 Å, I 79.5

Structural model:
a = 7.0495 Å, b = 7.0495 Å, c = 7.4129 Å
α = 92.58°, β = 92.58°, γ = 28.54°
Element x y z (fractional)
Na1 0.0000 0.0000 0.0000
Na2 0.2008 0.2008 0.7935
Na3 0.5595 0.5595 0.4538
Na4 0.7905 0.7905 0.4845
Mg1 0.1789 0.1789 0.2044
Cu1 0.3839 0.3839 0.2234
Cu2 0.4109 0.4109 0.7317
O1 0.1740 0.1740 0.4688
O2 0.6405 0.6405 0.0755
O3 0.8883 0.8883 0.7495
O4 0.9080 0.9080 0.2552



(4)
Calculated powder X-ray diffraction pattern of Na4MgCu2O4 for Cu Kα, from a cell relaxed with GGA-PBE.
Peak positions follow from Bragg's law for the DFT cell and can differ from measured ones.

Principal peaks in the range 2θ from 15° to 90°, in order of rising 2θ:
2θ = 17.4°, d = 5.087 Å, I 100.0; 2θ = 18.0°, d = 4.932 Å, I 56.6; 2θ = 20.2°, d = 4.391 Å, I 75.1; 2θ = 22.6°, d = 3.931 Å, I 49.1; 2θ = 31.7°, d = 2.822 Å, I 59.5; 2θ = 33.5°, d = 2.673 Å, I 86.8; 2θ = 34.3°, d = 2.615 Å, I 81.1; 2θ = 37.1°, d = 2.426 Å, I 87.3; 2θ = 40.6°, d = 2.223 Å, I 80.5; 2θ = 48.2°, d = 1.889 Å, I 56.7

Structural model:
a = 5.2652 Å, b = 2.9367 Å, c = 10.2783 Å
α = 90.00°, β = 98.20°, γ = 90.00°
Element x y z (fractional)
Na1 0.0000 0.0000 0.0000
Na2 0.1870 0.0000 0.5702
Na3 0.5415 0.5000 0.1203
Na4 0.7770 0.5000 0.7415
Mg1 0.0863 0.0000 0.2898
Cu1 0.3381 0.5000 0.8521
Cu2 0.6724 0.0000 0.4413
O1 0.1085 0.0000 0.7802
O2 0.1180 0.5000 0.1651
O3 0.5603 0.0000 0.9318
O4 0.9406 0.5000 0.4116



(5)
Calculated powder X-ray diffraction pattern of NaMgCu2O3 for Cu Kα, from a cell relaxed with GGA-PBE.
Peak positions follow from Bragg's law for the DFT cell and can differ from measured ones.

Principal peaks in the range 2θ from 15° to 90°, in order of rising 2θ:
2θ = 17.0°, d = 5.214 Å, I 100.0; 2θ = 22.6°, d = 3.928 Å, I 13.3; 2θ = 29.2°, d = 3.059 Å, I 11.8; 2θ = 31.8°, d = 2.816 Å, I 21.3; 2θ = 34.4°, d = 2.607 Å, I 25.9; 2θ = 36.3°, d = 2.477 Å, I 12.8; 2θ = 45.6°, d = 1.991 Å, I 21.9; 2θ = 47.5°, d = 1.913 Å, I 14.4; 2θ = 49.0°, d = 1.860 Å, I 21.7; 2θ = 58.3°, d = 1.582 Å, I 19.1

Structural model:
a = 6.2957 Å, b = 6.2957 Å, c = 5.2140 Å
α = 90.00°, β = 90.00°, γ = 143.13°
Element x y z (fractional)
Na1 0.0000 0.0000 0.0000
Mg1 0.0000 0.0000 0.5000
Cu1 0.3302 0.6698 0.5000
Cu2 0.6698 0.3302 0.5000
O1 0.1619 0.8381 0.5000
O2 0.5000 0.5000 0.5000
O3 0.8381 0.1619 0.5000



(6)
Calculated powder X-ray diffraction pattern of NaMgCu2O3 for Cu Kα, from a cell relaxed with GGA-PBE.
Peak positions follow from Bragg's law for the DFT cell and can differ from measured ones.

Principal peaks in the range 2θ from 15° to 90°, in order of rising 2θ:
2θ = 22.9°, d = 3.881 Å, I 38.0; 2θ = 28.5°, d = 3.127 Å, I 54.7; 2θ = 33.7°, d = 2.660 Å, I 39.8; 2θ = 34.3°, d = 2.614 Å, I 41.9; 2θ = 36.9°, d = 2.435 Å, I 100.0; 2θ = 38.1°, d = 2.359 Å, I 74.8; 2θ = 46.8°, d = 1.941 Å, I 24.8; 2θ = 50.8°, d = 1.797 Å, I 27.9; 2θ = 61.5°, d = 1.507 Å, I 24.3; 2θ = 62.3°, d = 1.490 Å, I 25.2

Structural model:
a = 3.5945 Å, b = 3.1273 Å, c = 7.7640 Å
α = 90.00°, β = 91.00°, γ = 90.00°
Element x y z (fractional)
Na1 0.0000 0.0000 0.0000
Mg1 0.0000 0.0000 0.5000
Cu1 0.4865 0.5000 0.7549
Cu2 0.5135 0.5000 0.2451
O1 0.0175 0.5000 0.3291
O2 0.5000 0.5000 0.0000
O3 0.9825 0.5000 0.6709



(7)
Calculated powder X-ray diffraction pattern of Na4MgCu4O8 for Cu Kα, from a cell relaxed with GGA-PBE.
Peak positions follow from Bragg's law for the DFT cell and can differ from measured ones.

Principal peaks in the range 2θ from 15° to 90°, in order of rising 2θ:
2θ = 16.1°, d = 5.500 Å, I 100.0; 2θ = 26.4°, d = 3.382 Å, I 35.9; 2θ = 28.8°, d = 3.103 Å, I 52.8; 2θ = 32.6°, d = 2.750 Å, I 20.0; 2θ = 33.2°, d = 2.699 Å, I 32.4; 2θ = 36.6°, d = 2.457 Å, I 20.3; 2θ = 40.8°, d = 2.210 Å, I 23.4; 2θ = 42.6°, d = 2.122 Å, I 32.0; 2θ = 44.9°, d = 2.021 Å, I 30.3; 2θ = 53.8°, d = 1.704 Å, I 18.7

Structural model:
a = 5.7017 Å, b = 5.7200 Å, c = 6.9135 Å
α = 98.01°, β = 96.88°, γ = 102.47°
Element x y z (fractional)
Na1 0.0000 0.0000 0.0000
Na2 0.0000 0.5000 0.0000
Na3 0.0761 0.2812 0.4324
Na4 0.9239 0.7188 0.5676
Mg1 0.5000 0.0000 0.5000
Cu1 0.4621 0.8357 0.7991
Cu2 0.4664 0.3492 0.7817
Cu3 0.5336 0.6508 0.2183
Cu4 0.5379 0.1643 0.2009
O1 0.2311 0.5380 0.7371
O2 0.2517 0.0306 0.6876
O3 0.3037 0.3461 0.1614
O4 0.3064 0.8648 0.2141
O5 0.6936 0.1352 0.7859
O6 0.6963 0.6539 0.8386
O7 0.7483 0.9694 0.3124
O8 0.7689 0.4620 0.2629



(8)
Calculated powder X-ray diffraction pattern of Na4MgCu2O4 for Cu Kα, from a cell relaxed with GGA-PBE.
Peak positions follow from Bragg's law for the DFT cell and can differ from measured ones.

Principal peaks in the range 2θ from 15° to 90°, in order of rising 2θ:
2θ = 16.5°, d = 5.373 Å, I 100.0; 2θ = 17.3°, d = 5.118 Å, I 33.9; 2θ = 26.1°, d = 3.412 Å, I 33.8; 2θ = 31.4°, d = 2.845 Å, I 20.9; 2θ = 33.5°, d = 2.677 Å, I 27.9; 2θ = 34.9°, d = 2.573 Å, I 22.8; 2θ = 37.0°, d = 2.431 Å, I 42.0; 2θ = 48.2°, d = 1.887 Å, I 23.8; 2θ = 48.8°, d = 1.866 Å, I 26.8; 2θ = 50.1°, d = 1.821 Å, I 22.4

Structural model:
a = 5.9873 Å, b = 5.9873 Å, c = 10.3842 Å
α = 99.35°, β = 99.35°, γ = 30.72°
Element x y z (fractional)
Na1 0.0000 0.0000 0.0000
Na2 0.4070 0.4070 0.3034
Na3 0.5286 0.5286 0.7621
Na4 0.8068 0.8068 0.5669
Mg1 0.2926 0.2926 0.0421
Cu1 0.0485 0.0485 0.5225
Cu2 0.7654 0.7654 0.8476
O1 0.1552 0.1552 0.8906
O2 0.3772 0.3772 0.8748
O3 0.4511 0.4511 0.5309
O4 0.8512 0.8512 0.1437



(9)
Calculated powder X-ray diffraction pattern of NaMgCu6O8 for Cu Kα, from a cell relaxed with GGA-PBE.
Peak positions follow from Bragg's law for the DFT cell and can differ from measured ones.

Principal peaks in the range 2θ from 15° to 90°, in order of rising 2θ:
2θ = 19.3°, d = 4.597 Å, I 21.5; 2θ = 27.4°, d = 3.250 Å, I 7.6; 2θ = 32.3°, d = 2.772 Å, I 3.7; 2θ = 33.8°, d = 2.654 Å, I 100.0; 2θ = 39.2°, d = 2.298 Å, I 28.4; 2θ = 48.5°, d = 1.877 Å, I 4.3; 2θ = 56.6°, d = 1.625 Å, I 44.5; 2θ = 67.6°, d = 1.386 Å, I 35.9; 2θ = 71.0°, d = 1.327 Å, I 7.2; 2θ = 84.3°, d = 1.149 Å, I 5.6

Structural model:
a = 6.5009 Å, b = 6.5009 Å, c = 6.5009 Å
α = 60.00°, β = 60.00°, γ = 60.00°
Element x y z (fractional)
Na1 0.0000 0.0000 0.0000
Mg1 0.5000 0.5000 0.5000
Cu1 0.0000 0.0000 0.5000
Cu2 0.0000 0.5000 0.0000
Cu3 0.0000 0.5000 0.5000
Cu4 0.5000 0.0000 0.0000
Cu5 0.5000 0.0000 0.5000
Cu6 0.5000 0.5000 0.0000
O1 0.1448 0.1448 0.1448
O2 0.1448 0.1448 0.5657
O3 0.1448 0.5657 0.1448
O4 0.4343 0.8552 0.8552
O5 0.5657 0.1448 0.1448
O6 0.8552 0.4343 0.8552
O7 0.8552 0.8552 0.4343
O8 0.8552 0.8552 0.8552



(10)
Calculated powder X-ray diffraction pattern of Mg6NbCu for Cu Kα, from a cell relaxed with GGA-PBE.
Peak positions follow from Bragg's law for the DFT cell and can differ from measured ones.

Principal peaks in the range 2θ from 15° to 90°, in order of rising 2θ:
2θ = 16.4°, d = 5.404 Å, I 23.6; 2θ = 16.8°, d = 5.281 Å, I 71.5; 2θ = 34.0°, d = 2.640 Å, I 37.0; 2θ = 34.4°, d = 2.607 Å, I 24.2; 2θ = 37.2°, d = 2.418 Å, I 42.9; 2θ = 38.2°, d = 2.359 Å, I 68.7; 2θ = 38.9°, d = 2.318 Å, I 100.0; 2θ = 51.2°, d = 1.783 Å, I 22.1; 2θ = 72.5°, d = 1.304 Å, I 18.9; 2θ = 74.5°, d = 1.273 Å, I 19.9

Structural model:
a = 4.8366 Å, b = 6.1939 Å, c = 6.1939 Å
α = 58.50°, β = 90.00°, γ = 90.00°
Element x y z (fractional)
Mg1 0.0000 0.0000 0.0000
Mg2 0.0000 0.0136 0.4962
Mg3 0.0000 0.4962 0.0136
Mg4 0.5000 0.3454 0.8306
Mg5 0.5000 0.8306 0.3454
Mg6 0.5000 0.8362 0.8362
Nb1 0.5000 0.3473 0.3473
Cu1 0.0000 0.4857 0.4857



(11)
Calculated powder X-ray diffraction pattern of Mg6NbCu for Cu Kα, from a cell relaxed with GGA-PBE.
Peak positions follow from Bragg's law for the DFT cell and can differ from measured ones.

Principal peaks in the range 2θ from 15° to 90°, in order of rising 2θ:
2θ = 16.2°, d = 5.474 Å, I 45.1; 2θ = 18.4°, d = 4.816 Å, I 29.9; 2θ = 24.6°, d = 3.616 Å, I 26.1; 2θ = 34.2°, d = 2.622 Å, I 43.7; 2θ = 37.3°, d = 2.408 Å, I 39.7; 2θ = 37.8°, d = 2.380 Å, I 66.1; 2θ = 39.1°, d = 2.303 Å, I 100.0; 2θ = 51.5°, d = 1.774 Å, I 24.4; 2θ = 68.5°, d = 1.369 Å, I 20.9; 2θ = 72.3°, d = 1.308 Å, I 18.8

Structural model:
a = 4.8164 Å, b = 6.2363 Å, c = 6.2363 Å
α = 57.24°, β = 90.00°, γ = 90.00°
Element x y z (fractional)
Mg1 0.0000 0.0000 0.0000
Mg2 0.0000 0.0025 0.5097
Mg3 0.0000 0.4879 0.4879
Mg4 0.0000 0.5097 0.0025
Mg5 0.5000 0.3477 0.8483
Mg6 0.5000 0.8483 0.3477
Nb1 0.5000 0.8497 0.8497
Cu1 0.5000 0.3371 0.3371



(12)
Calculated powder X-ray diffraction pattern of Mg6NbCuO8 for Cu Kα, from a cell relaxed with GGA-PBE.
Peak positions follow from Bragg's law for the DFT cell and can differ from measured ones.

Principal peaks in the range 2θ from 15° to 90°, in order of rising 2θ:
2θ = 20.1°, d = 4.421 Å, I 22.8; 2θ = 29.4°, d = 3.039 Å, I 17.5; 2θ = 31.1°, d = 2.874 Å, I 30.0; 2θ = 35.9°, d = 2.505 Å, I 55.7; 2θ = 40.8°, d = 2.210 Å, I 53.8; 2θ = 42.0°, d = 2.149 Å, I 100.0; 2θ = 60.0°, d = 1.541 Å, I 60.2; 2θ = 61.0°, d = 1.520 Å, I 29.1; 2θ = 72.8°, d = 1.299 Å, I 17.5; 2θ = 76.0°, d = 1.252 Å, I 27.3

Structural model:
a = 4.2984 Å, b = 4.2984 Å, c = 8.8418 Å
α = 90.00°, β = 90.00°, γ = 90.00°
Element x y z (fractional)
Mg1 0.0000 0.0000 0.0000
Mg2 0.0000 0.5000 0.2431
Mg3 0.0000 0.5000 0.7569
Mg4 0.5000 0.0000 0.2431
Mg5 0.5000 0.0000 0.7569
Mg6 0.5000 0.5000 0.0000
Nb1 0.0000 0.0000 0.5000
Cu1 0.5000 0.5000 0.5000
O1 0.0000 0.0000 0.2434
O2 0.0000 0.0000 0.7566
O3 0.0000 0.5000 0.0000
O4 0.0000 0.5000 0.5000
O5 0.5000 0.0000 0.0000
O6 0.5000 0.0000 0.5000
O7 0.5000 0.5000 0.2346
O8 0.5000 0.5000 0.7654



- Number 3 is which compound?
  Na4MgCu2O4



What did the twelfth record say?
Calculated powder X-ray diffraction pattern of Mg6NbCuO8 for Cu Kα, from a cell relaxed with GGA-PBE.
Peak positions follow from Bragg's law for the DFT cell and can differ from measured ones.

Principal peaks in the range 2θ from 15° to 90°, in order of rising 2θ:
2θ = 20.1°, d = 4.421 Å, I 22.8; 2θ = 29.4°, d = 3.039 Å, I 17.5; 2θ = 31.1°, d = 2.874 Å, I 30.0; 2θ = 35.9°, d = 2.505 Å, I 55.7; 2θ = 40.8°, d = 2.210 Å, I 53.8; 2θ = 42.0°, d = 2.149 Å, I 100.0; 2θ = 60.0°, d = 1.541 Å, I 60.2; 2θ = 61.0°, d = 1.520 Å, I 29.1; 2θ = 72.8°, d = 1.299 Å, I 17.5; 2θ = 76.0°, d = 1.252 Å, I 27.3

Structural model:
a = 4.2984 Å, b = 4.2984 Å, c = 8.8418 Å
α = 90.00°, β = 90.00°, γ = 90.00°
Element x y z (fractional)
Mg1 0.0000 0.0000 0.0000
Mg2 0.0000 0.5000 0.2431
Mg3 0.0000 0.5000 0.7569
Mg4 0.5000 0.0000 0.2431
Mg5 0.5000 0.0000 0.7569
Mg6 0.5000 0.5000 0.0000
Nb1 0.0000 0.0000 0.5000
Cu1 0.5000 0.5000 0.5000
O1 0.0000 0.0000 0.2434
O2 0.0000 0.0000 0.7566
O3 0.0000 0.5000 0.0000
O4 0.0000 0.5000 0.5000
O5 0.5000 0.0000 0.0000
O6 0.5000 0.0000 0.5000
O7 0.5000 0.5000 0.2346
O8 0.5000 0.5000 0.7654